The following is a simulated powder diffraction line list of LiTiV3O8. It was derived from a DFT-relaxed cell (PBE+U, Alexandria), using copper Kα.

Main lines, by angle (2θ from 10° to 80°):
5.061 Å, I = 100; 2.582 Å, I = 17; 2.481 Å, I = 10; 2.183 Å, I = 35; 2.050 Å, I = 15; 1.696 Å, I = 11; 1.516 Å, I = 5; 1.509 Å, I = 7; 1.480 Å, I = 9; 1.444 Å, I = 5

Cell and atoms:
Unit cell a=5.933 b=5.933 c=6.295 alpha=120.73 beta=120.73 gamma=61.49
Sites, in units of the cell vectors:
Li 0.000 0.000 0.000
Ti 0.000 0.000 0.500
V 0.000 0.500 0.500
V 0.500 0.000 0.500
V 0.500 0.500 0.500
O 0.223 0.743 0.699
O 0.237 0.237 0.695
O 0.255 0.255 0.300
O 0.257 0.777 0.301
O 0.743 0.223 0.699
O 0.745 0.745 0.700
O 0.763 0.763 0.305
O 0.777 0.257 0.301